The following is a simulated powder XRD pattern of LiB3C3. It was derived from a crystal structure in Alexandria, relaxed with PBE, using a wavelength of 1.5418 Å.

Top 12 peaks for 2θ = 5–70°, sorted by position:
9.59 deg, intensity 66.2; 14.40 deg, intensity 15.2; 24.11 deg, intensity 100.0; 29.03 deg, intensity 35.3; 34.01 deg, intensity 22.9; 38.15 deg, intensity 40.2; 38.48 deg, intensity 9.2; 39.05 deg, intensity 10.0; 45.65 deg, intensity 38.7; 48.65 deg, intensity 20.8; 49.39 deg, intensity 19.7; 68.96 deg, intensity 33.3

Structure:
Lattice parameters (Å, degrees): 2.724 2.724 18.453 90.00 90.00 120.00
Sites, in units of the cell vectors:
Li1 0.000 0.000 0.099
Li2 0.000 0.000 0.901
B1 0.333 0.667 0.195
B2 0.333 0.667 0.500
B3 0.333 0.667 0.805
B4 0.667 0.333 0.000
B5 0.667 0.333 0.379
B6 0.667 0.333 0.621
C1 0.333 0.667 0.000
C2 0.333 0.667 0.378
C3 0.333 0.667 0.622
C4 0.667 0.333 0.191
C5 0.667 0.333 0.500
C6 0.667 0.333 0.809


The following is a simulated powder XRD pattern of Ac2TbMn2N6. It was derived from a crystal structure in Alexandria, relaxed with PBE, using a wavelength of 1.5418 Å.

Top 12 peaks for 2θ = 5–70°, sorted by position:
18.56 deg, intensity 18.2; 20.38 deg, intensity 16.7; 26.49 deg, intensity 33.1; 30.32 deg, intensity 100.0; 31.29 deg, intensity 99.3; 41.45 deg, intensity 18.1; 44.13 deg, intensity 39.1; 53.24 deg, intensity 14.5; 55.09 deg, intensity 37.2; 55.35 deg, intensity 19.8; 55.69 deg, intensity 19.9; 65.28 deg, intensity 15.4

Structure:
Lattice parameters (Å, degrees): 6.950 6.950 6.950 48.58 48.58 48.58
Sites, in units of the cell vectors:
Ac1 0.215 0.215 0.215
Ac2 0.785 0.785 0.785
Tb1 0.000 0.000 0.000
Mn1 0.403 0.403 0.403
Mn2 0.597 0.597 0.597
N1 0.245 0.738 0.738
N2 0.262 0.262 0.755
N3 0.262 0.755 0.262
N4 0.738 0.245 0.738
N5 0.738 0.738 0.245
N6 0.755 0.262 0.262


The following is a simulated powder XRD pattern of Pr3Sm8Tl4. It was derived from a crystal structure in Alexandria, relaxed with PBE, using a wavelength of 1.5418 Å.

Top 12 peaks for 2θ = 5–70°, sorted by position:
28.36 deg, intensity 100.0; 30.01 deg, intensity 56.0; 30.18 deg, intensity 13.3; 30.34 deg, intensity 58.5; 30.82 deg, intensity 30.1; 33.48 deg, intensity 12.9; 34.03 deg, intensity 21.5; 41.77 deg, intensity 38.8; 42.01 deg, intensity 48.0; 42.37 deg, intensity 25.1; 62.21 deg, intensity 15.4; 69.91 deg, intensity 13.0

Structure:
Lattice parameters (Å, degrees): 9.254 9.254 6.712 110.56 110.56 85.72
Sites, in units of the cell vectors:
Pr1 0.000 0.000 0.000
Pr2 0.000 0.500 0.500
Pr3 0.500 0.000 0.500
Sm1 0.248 0.248 0.872
Sm2 0.254 0.746 0.500
Sm3 0.261 0.739 0.000
Sm4 0.356 0.356 0.463
Sm5 0.644 0.644 0.537
Sm6 0.739 0.261 0.000
Sm7 0.746 0.254 0.500
Sm8 0.752 0.752 0.128
Tl1 0.000 0.000 0.500
Tl2 0.000 0.500 0.000
Tl3 0.500 0.000 0.000
Tl4 0.500 0.500 0.000


The following is a simulated powder XRD pattern of Sm4S3. It was derived from a crystal structure in Alexandria, relaxed with PBE, using a wavelength of 1.5418 Å.

Top 12 peaks for 2θ = 5–70°, sorted by position:
27.41 deg, intensity 24.2; 27.59 deg, intensity 73.8; 31.92 deg, intensity 100.0; 39.92 deg, intensity 1.7; 45.64 deg, intensity 35.0; 45.88 deg, intensity 36.5; 54.07 deg, intensity 10.8; 54.28 deg, intensity 22.9; 54.38 deg, intensity 11.8; 56.57 deg, intensity 5.7; 56.98 deg, intensity 18.8; 66.72 deg, intensity 11.1

Structure:
Lattice parameters (Å, degrees): 13.214 13.214 13.214 17.22 17.22 17.22
Sites, in units of the cell vectors:
Sm1 0.122 0.122 0.122
Sm2 0.373 0.373 0.373
Sm3 0.627 0.627 0.627
Sm4 0.878 0.878 0.878
S1 0.252 0.252 0.252
S2 0.500 0.500 0.500
S3 0.748 0.748 0.748


The following is a simulated powder XRD pattern of TaNbAu3. It was derived from a crystal structure in Alexandria, relaxed with PBE, using a wavelength of 1.5418 Å.

Top 12 peaks for 2θ = 5–70°, sorted by position:
7.30 deg, intensity 15.6; 14.62 deg, intensity 3.7; 36.17 deg, intensity 10.4; 37.12 deg, intensity 100.0; 38.46 deg, intensity 47.2; 40.11 deg, intensity 6.1; 42.05 deg, intensity 33.9; 44.25 deg, intensity 37.2; 46.69 deg, intensity 6.0; 61.74 deg, intensity 13.9; 63.50 deg, intensity 25.3; 65.24 deg, intensity 10.7

Structure:
Lattice parameters (Å, degrees): 2.930 2.930 24.236 90.00 90.00 120.00
Sites, in units of the cell vectors:
Ta1 0.333 0.667 0.000
Ta2 0.667 0.333 0.500
Nb1 0.000 0.000 0.299
Nb2 0.000 0.000 0.799
Au1 0.000 0.000 0.097
Au2 0.000 0.000 0.597
Au3 0.333 0.667 0.400
Au4 0.333 0.667 0.701
Au5 0.667 0.333 0.201
Au6 0.667 0.333 0.900


The following is a simulated powder XRD pattern of Cs2GeB2S6. It was derived from a crystal structure in Alexandria, relaxed with PBE, using a wavelength of 1.5418 Å.

Top 12 peaks for 2θ = 5–70°, sorted by position:
15.64 deg, intensity 38.1; 17.87 deg, intensity 68.1; 21.43 deg, intensity 48.0; 21.59 deg, intensity 51.8; 23.44 deg, intensity 87.1; 24.05 deg, intensity 47.5; 24.52 deg, intensity 100.0; 27.91 deg, intensity 54.8; 31.63 deg, intensity 41.3; 35.97 deg, intensity 80.2; 36.21 deg, intensity 49.6; 36.97 deg, intensity 48.1

Structure:
Lattice parameters (Å, degrees): 7.912 7.912 8.184 113.08 113.08 46.79
Sites, in units of the cell vectors:
Cs1 0.180 0.180 0.198
Cs2 0.820 0.820 0.802
Ge1 0.000 0.000 0.500
B1 0.493 0.493 0.687
B2 0.507 0.507 0.313
S1 0.182 0.676 0.264
S2 0.324 0.818 0.736
S3 0.364 0.364 0.643
S4 0.636 0.636 0.357
S5 0.676 0.182 0.264
S6 0.818 0.324 0.736


The following is a simulated powder XRD pattern of Tb2ThZn2Sn2. It was derived from a crystal structure in Alexandria, relaxed with PBE, using a wavelength of 1.5418 Å.

Top 12 peaks for 2θ = 5–70°, sorted by position:
22.61 deg, intensity 33.6; 30.68 deg, intensity 42.0; 32.83 deg, intensity 100.0; 39.35 deg, intensity 68.3; 45.24 deg, intensity 9.2; 50.70 deg, intensity 10.6; 52.15 deg, intensity 27.4; 53.99 deg, intensity 17.9; 61.48 deg, intensity 22.3; 66.01 deg, intensity 9.8; 67.24 deg, intensity 25.7; 68.83 deg, intensity 8.7

Structure:
Lattice parameters (Å, degrees): 10.366 10.366 10.366 25.52 25.52 25.52
Sites, in units of the cell vectors:
Tb1 0.129 0.129 0.129
Tb2 0.871 0.871 0.871
Th1 0.000 0.000 0.000
Zn1 0.387 0.387 0.387
Zn2 0.613 0.613 0.613
Sn1 0.257 0.257 0.257
Sn2 0.743 0.743 0.743


The following is a simulated powder XRD pattern of Pr2Ag4Se5. It was derived from a crystal structure in Alexandria, relaxed with PBE, using a wavelength of 1.5418 Å.

Top 12 peaks for 2θ = 5–70°, sorted by position:
23.77 deg, intensity 20.1; 24.63 deg, intensity 32.6; 27.18 deg, intensity 13.6; 29.70 deg, intensity 20.1; 29.95 deg, intensity 100.0; 33.27 deg, intensity 16.1; 41.69 deg, intensity 86.8; 44.01 deg, intensity 50.3; 52.03 deg, intensity 24.2; 52.18 deg, intensity 20.4; 62.23 deg, intensity 17.5; 68.90 deg, intensity 20.0

Structure:
Lattice parameters (Å, degrees): 18.218 18.218 18.218 13.66 13.66 13.66
Sites, in units of the cell vectors:
Pr1 0.134 0.134 0.134
Pr2 0.866 0.866 0.866
Ag1 0.311 0.311 0.311
Ag2 0.414 0.414 0.414
Ag3 0.586 0.586 0.586
Ag4 0.689 0.689 0.689
Se1 0.230 0.230 0.230
Se2 0.367 0.367 0.367
Se3 0.500 0.500 0.500
Se4 0.633 0.633 0.633
Se5 0.770 0.770 0.770


The following is a simulated powder XRD pattern of Th4Se. It was derived from a crystal structure in Alexandria, relaxed with PBE, using a wavelength of 1.5418 Å.

Top 12 peaks for 2θ = 5–70°, sorted by position:
15.89 deg, intensity 2.9; 22.55 deg, intensity 2.5; 27.71 deg, intensity 100.0; 32.10 deg, intensity 74.2; 36.01 deg, intensity 1.5; 39.59 deg, intensity 1.1; 46.04 deg, intensity 55.8; 49.01 deg, intensity 0.8; 54.58 deg, intensity 48.2; 57.23 deg, intensity 19.8; 62.30 deg, intensity 0.6; 67.15 deg, intensity 9.3

Structure:
Lattice parameters (Å, degrees): 5.576 5.576 5.576 90.00 90.00 90.00
Sites, in units of the cell vectors:
Th1 0.000 0.000 0.000
Th2 0.000 0.500 0.500
Th3 0.500 0.000 0.500
Th4 0.500 0.500 0.000
Se1 0.500 0.500 0.500